The following is a calculated powder XRD pattern of Er4Fe2Te. It was derived from a crystal structure in Alexandria, relaxed with PBE, using λ = 1.5418 Å (Cu Kα).
Intensities are scaled so that the largest is 100.

a b c (Å): 5.681 5.681 17.095
angles (deg): 90.00 90.00 139.55
Sites, in units of the cell vectors:
Er 0.000 0.000 0.000
Er 0.000 0.000 0.500
Er 0.312 0.688 0.629
Er 0.312 0.688 0.871
Er 0.370 0.630 0.250
Er 0.630 0.370 0.750
Er 0.688 0.312 0.129
Er 0.688 0.312 0.371
Fe 0.293 0.707 0.032
Fe 0.293 0.707 0.468
Fe 0.707 0.293 0.532
Fe 0.707 0.293 0.968
Te 0.078 0.922 0.250
Te 0.922 0.078 0.750

Main lines, by angle (2θ = 10–90°):
| two_theta | I (rel.) |
| --- | --- |
| 26.74 | 56.3 |
| 28.85 | 61.7 |
| 32.07 | 33.5 |
| 34.02 | 100.0 |
| 34.44 | 36.6 |
| 35.27 | 34.1 |
| 35.83 | 94.5 |
| 42.29 | 33.7 |
| 46.23 | 35.2 |
| 55.35 | 37.0 |